1.
This entry pairs a crystal structure of NaMg2TlCo with its computed X-ray diffraction stick pattern. Radiation: Cu Kα X-rays. Structure: a DFT-relaxed cell (GGA-PBE, Alexandria).
Peak positions follow from Bragg's law for the DFT cell and can differ from measured ones.

Most intense lines, 5 to 70 degrees two-theta, sorted by position:
18.1 deg, rel. 100, (1 0 0)
25.3 deg, rel. 19, (1 0 1)
25.6 deg, rel. 42, (1 1 0)
31.3 deg, rel. 42, (1 1 1)
36.6 deg, rel. 35, (2 0 0)
40.3 deg, rel. 27, (1 0 2)
41.1 deg, rel. 25, (2 1 0)
44.5 deg, rel. 20, (1 1 2)
52.0 deg, rel. 25, (2 0 2)
55.5 deg, rel. 21, (2 1 2)

Structure:
a b c (Å): 4.9128 4.9128 5.0318
angles (deg): 90.00 90.00 90.00
Fractional positions:
1 Na 0.0000 0.0000 0.0000
2 Mg 0.0000 0.5000 0.5000
3 Mg 0.5000 0.0000 0.5000
4 Tl 0.5000 0.5000 0.0000
5 Co 0.5000 0.5000 0.5000

2.
This entry pairs a crystal structure of RbNa2Br2Cl with its computed X-ray diffraction stick pattern. Radiation: Cu Kα X-rays. Structure: a DFT-relaxed cell (GGA-PBE, Alexandria).
Peak positions follow from Bragg's law for the DFT cell and can differ from measured ones.

Most intense lines, 5 to 70 degrees two-theta, sorted by position:
7.7 deg, rel. 77, (0 0 1)
24.6 deg, rel. 44, (0 2 0)
25.7 deg, rel. 68, (1 1 -2)
25.9 deg, rel. 100, (1 1 2)
31.0 deg, rel. 40, (1 1 -3)
31.3 deg, rel. 36, (1 1 3)
33.3 deg, rel. 16, (2 0 0)
34.0 deg, rel. 16, (0 2 3)
41.9 deg, rel. 35, (2 2 0)
44.1 deg, rel. 16, (1 3 2)

Structure:
a b c (Å): 5.3771 7.2408 11.5468
angles (deg): 90.00 90.61 90.00
Fractional positions:
1 Rb 0.2350 0.2500 0.0007
2 Rb 0.7650 0.7500 0.9993
3 Na 0.4936 0.0000 0.6566
4 Na 0.4936 0.5000 0.6566
5 Na 0.5064 0.0000 0.3434
6 Na 0.5064 0.5000 0.3434
7 Br 0.2634 0.7500 0.8165
8 Br 0.2724 0.7500 0.1818
9 Br 0.7276 0.2500 0.8182
10 Br 0.7366 0.2500 0.1835
11 Cl 0.3349 0.2500 0.4978
12 Cl 0.6651 0.7500 0.5022